Structure and computed X-ray diffraction stick pattern of K4MgV6O16 (a GGA+U-relaxed structure; a wavelength of 1.5418 Å).
Kinematic intensities with the Lorentz-polarization factor, no thermal factor.

Peak list (6 most intense, 10 to 80 degrees two-theta, by angle)
Position (°2θ)	d_spacing	Rel. int.	(hkl)
14.73	6.013	100	0 0 1
26.15	3.408	31	3 1 -1
26.58	3.354	31	3 1 1
27.08	3.293	50	1 3 -1
27.22	3.277	34	1 3 1
29.72	3.006	40	0 0 2

Cell and atoms:
```
data_K4MgV6O16
_chemical_formula_sum 'K8 Mg2 V12 O32'
_symmetry_space_group_name_H-M 'C 1 m 1'
_symmetry_Int_Tables_number 8
_cell_length_a 13.0008
_cell_length_b 12.3410
_cell_length_c 6.0140
_cell_angle_alpha 90.00
_cell_angle_beta 91.05
_cell_angle_gamma 90.00
loop_
_symmetry_equiv_pos_as_xyz
'x,y,z'
'x,-y,z'
'x+1/2,y+1/2,z'
'x+1/2,-y+1/2,z'
loop_
_atom_site_label
_atom_site_fract_x
_atom_site_fract_y
_atom_site_fract_z
_atom_site_occupancy
K1 0.0000 0.0000 0.0000 1
K2 0.1485 0.5000 0.8728 1
K3 0.3529 0.1710 0.8766 1
Mg1 0.4779 0.5000 0.5095 1
V1 0.0535 0.2411 0.4058 1
V2 0.2011 0.0000 0.3673 1
V3 0.2981 0.3599 0.3788 1
V4 0.4560 0.0000 0.4269 1
O1 0.0109 0.3827 0.5429 1
O2 0.0331 0.2493 0.1332 1
O3 0.1016 0.0973 0.4691 1
O4 0.1958 0.2858 0.4858 1
O5 0.2024 0.0000 0.0863 1
O6 0.2922 0.5000 0.4797 1
O7 0.3097 0.3645 0.0993 1
O8 0.3245 0.0000 0.5277 1
O9 0.4248 0.3361 0.5195 1
O10 0.4605 0.0000 0.1489 1
```



Structure and computed X-ray diffraction stick pattern of MnPH5CO4 (a GGA+U-relaxed structure; a wavelength of 1.5418 Å).
Kinematic intensities with the Lorentz-polarization factor, no thermal factor.

Peak list (6 most intense, 10 to 80 degrees two-theta, by angle)
Position (°2θ)	d_spacing	Rel. int.	(hkl)
18.09	4.903	37	2 0 1
20.61	4.310	41	2 1 0
25.61	3.478	58	2 1 1
30.35	2.945	54	0 0 2
31.10	2.875	100	4 1 1
38.72	2.326	77	6 1 1

Cell and atoms:
```
data_MnPH5CO4
_chemical_formula_sum 'Mn4 P4 H20 C4 O16'
_symmetry_space_group_name_H-M 'P n a 21'
_symmetry_Int_Tables_number 33
_cell_length_a 17.7058
_cell_length_b 4.9343
_cell_length_c 5.8892
_cell_angle_alpha 90.00
_cell_angle_beta 90.00
_cell_angle_gamma 90.00
loop_
_symmetry_equiv_pos_as_xyz
'x,y,z'
'-x,-y,z+1/2'
'-x+1/2,y+1/2,z+1/2'
'x+1/2,-y+1/2,z'
loop_
_atom_site_label
_atom_site_fract_x
_atom_site_fract_y
_atom_site_fract_z
_atom_site_occupancy
Mn1 0.2367 0.1673 0.0000 1
P1 0.1524 0.2257 0.5005 1
H1 0.0218 0.1876 0.6249 1
H2 0.0311 0.2178 0.3242 1
H3 0.0425 0.5107 0.4999 1
H4 0.1450 0.7405 0.1379 1
H5 0.1469 0.7309 0.8711 1
C1 0.0524 0.2914 0.4881 1
O1 0.1431 0.8550 0.0011 1
O2 0.1650 0.9190 0.5018 1
O3 0.1870 0.3698 0.7131 1
O4 0.1891 0.3687 0.2903 1
```



Structure and computed X-ray diffraction stick pattern of Li4Co3O7 (a GGA+U-relaxed structure; a wavelength of 1.5418 Å).
Kinematic intensities with the Lorentz-polarization factor, no thermal factor.

Peak list (6 most intense, 10 to 80 degrees two-theta, by angle)
Position (°2θ)	d_spacing	Rel. int.	(hkl)
18.44	4.812	100	0 1 -2
35.48	2.530	15	-1 1 2
36.19	2.482	25	1 1 1
42.83	2.111	30	1 -2 0
44.01	2.057	52	1 2 -1
62.97	1.476	15	0 4 -1

Cell and atoms:
```
data_Li4Co3O7
_chemical_formula_sum 'Li8 Co6 O14'
_symmetry_space_group_name_H-M 'P -1'
_symmetry_Int_Tables_number 2
_cell_length_a 2.9454
_cell_length_b 5.9050
_cell_length_c 14.5498
_cell_angle_alpha 96.09
_cell_angle_beta 95.67
_cell_angle_gamma 91.44
loop_
_symmetry_equiv_pos_as_xyz
'x,y,z'
'-x,-y,-z'
loop_
_atom_site_label
_atom_site_fract_x
_atom_site_fract_y
_atom_site_fract_z
_atom_site_occupancy
Li1 0.0000 0.0000 0.0000 1
Li2 0.0000 0.5000 0.0000 1
Li3 0.1438 0.0721 0.2842 1
Li4 0.2856 0.6423 0.5707 1
Li5 0.4295 0.2097 0.8616 1
Co1 0.1430 0.5702 0.2828 1
Co2 0.2863 0.1451 0.5718 1
Co3 0.4342 0.7246 0.8655 1
O1 0.0318 0.5194 0.1446 1
O2 0.1053 0.0554 0.1435 1
O3 0.2066 0.6188 0.4249 1
O4 0.2201 0.0930 0.4314 1
O5 0.3538 0.1964 0.7116 1
O6 0.3695 0.6646 0.7249 1
O7 0.4947 0.7452 0.9864 1
```



Structure and computed X-ray diffraction stick pattern of Li4Mn2Cr3Sn3O16 (a GGA+U-relaxed structure; a wavelength of 1.5418 Å).
Kinematic intensities with the Lorentz-polarization factor, no thermal factor.

Peak list (6 most intense, 10 to 80 degrees two-theta, by angle)
Position (°2θ)	d_spacing	Rel. int.	(hkl)
18.38	4.827	100	0 0 2
19.07	4.654	75	1 1 1
34.64	2.590	38	1 2 2
35.05	2.560	49	2 0 1
35.17	2.551	35	0 2 -1
60.90	1.521	31	4 2 0

Cell and atoms:
```
data_Li4Mn2Cr3Sn3O16
_chemical_formula_sum 'Li4 Mn2 Cr3 Sn3 O16'
_symmetry_space_group_name_H-M 'P 1'
_symmetry_Int_Tables_number 1
_cell_length_a 6.0828
_cell_length_b 6.0877
_cell_length_c 9.6557
_cell_angle_alpha 89.22
_cell_angle_beta 89.35
_cell_angle_gamma 60.60
loop_
_symmetry_equiv_pos_as_xyz
'x,y,z'
loop_
_atom_site_label
_atom_site_fract_x
_atom_site_fract_y
_atom_site_fract_z
_atom_site_occupancy
Li1 0.0000 0.0000 0.0000 1
Li2 0.0006 0.9997 0.5078 1
Li3 0.3513 0.3521 0.0992 1
Li4 0.6860 0.6875 0.6064 1
Mn1 0.3539 0.3549 0.5197 1
Mn2 0.6852 0.6863 0.0052 1
Cr1 0.1832 0.6749 0.7853 1
Cr2 0.6743 0.1841 0.7851 1
Cr3 0.8438 0.8452 0.2858 1
Sn1 0.1804 0.1816 0.7885 1
Sn2 0.3549 0.8500 0.2862 1
Sn3 0.8489 0.3553 0.2862 1
O1 0.0090 0.0099 0.6893 1
O2 0.0119 0.0130 0.1865 1
O3 0.0634 0.4981 0.6510 1
O4 0.1775 0.1781 0.4095 1
O5 0.1809 0.6824 0.4036 1
O6 0.3345 0.8459 0.9003 1
O7 0.3501 0.3502 0.8934 1
O8 0.4934 0.4945 0.6581 1
O9 0.4963 0.0650 0.6508 1
O10 0.5389 0.5405 0.1492 1
O11 0.5411 0.9872 0.1632 1
O12 0.6827 0.1805 0.4038 1
O13 0.6843 0.6838 0.4015 1
O14 0.8440 0.8446 0.8944 1
O15 0.8463 0.3326 0.9002 1
O16 0.9836 0.5437 0.1619 1
```



Structure and computed X-ray diffraction stick pattern of Li3CoO2F (a GGA+U-relaxed structure; a wavelength of 1.5418 Å).
Kinematic intensities with the Lorentz-polarization factor, no thermal factor.

Peak list (6 most intense, 10 to 80 degrees two-theta, by angle)
Position (°2θ)	d_spacing	Rel. int.	(hkl)
13.79	6.420	92	1 1 0
26.08	3.416	99	0 1 1
26.57	3.355	100	1 0 1
28.13	3.172	53	1 1 1
36.94	2.434	48	0 4 0
42.32	2.135	40	4 0 0

Cell and atoms:
```
data_Li3CoO2F
_chemical_formula_sum 'Li12 Co4 O8 F4'
_symmetry_space_group_name_H-M 'P n n m'
_symmetry_Int_Tables_number 58
_cell_length_a 8.5417
_cell_length_b 9.7343
_cell_length_c 3.6482
_cell_angle_alpha 90.00
_cell_angle_beta 90.00
_cell_angle_gamma 90.00
loop_
_symmetry_equiv_pos_as_xyz
'x,y,z'
'-x,-y,-z'
'-x,-y,z'
'x,y,-z'
'x+1/2,-y+1/2,-z+1/2'
'-x+1/2,y+1/2,z+1/2'
'-x+1/2,y+1/2,-z+1/2'
'x+1/2,-y+1/2,z+1/2'
loop_
_atom_site_label
_atom_site_fract_x
_atom_site_fract_y
_atom_site_fract_z
_atom_site_occupancy
Li1 0.1027 0.1556 0.0000 1
Li2 0.1436 0.9236 0.5000 1
Li3 0.1619 0.3267 0.5000 1
Co1 0.1180 0.5904 0.0000 1
O1 0.1012 0.3826 0.0000 1
O2 0.1721 0.1243 0.5000 1
F1 0.1174 0.8690 0.0000 1
```



Structure and computed X-ray diffraction stick pattern of Li9Mn2Co5O16 (a GGA+U-relaxed structure; a wavelength of 1.5418 Å).
Kinematic intensities with the Lorentz-polarization factor, no thermal factor.

Peak list (6 most intense, 10 to 80 degrees two-theta, by angle)
Position (°2θ)	d_spacing	Rel. int.	(hkl)
18.48	4.802	100	1 0 -1
36.79	2.443	23	1 0 3
41.93	2.155	30	2 -2 0
44.67	2.029	25	0 0 4
44.81	2.022	25	2 2 0
62.94	1.477	22	2 -2 4

Cell and atoms:
```
data_Li9Mn2Co5O16
_chemical_formula_sum 'Li9 Mn2 Co5 O16'
_symmetry_space_group_name_H-M 'P 1'
_symmetry_Int_Tables_number 1
_cell_length_a 5.9059
_cell_length_b 5.9165
_cell_length_c 8.1160
_cell_angle_alpha 90.81
_cell_angle_beta 90.78
_cell_angle_gamma 93.62
loop_
_symmetry_equiv_pos_as_xyz
'x,y,z'
loop_
_atom_site_label
_atom_site_fract_x
_atom_site_fract_y
_atom_site_fract_z
_atom_site_occupancy
Li1 0.0000 0.0000 0.0000 1
Li2 0.0006 0.4791 0.0018 1
Li3 0.2465 0.2413 0.7576 1
Li4 0.2470 0.2393 0.2498 1
Li5 0.2508 0.7401 0.2499 1
Li6 0.4922 0.9977 0.5062 1
Li7 0.4935 0.4811 0.5090 1
Li8 0.7444 0.2368 0.7579 1
Li9 0.7465 0.7403 0.7591 1
Mn1 0.9996 0.4784 0.5043 1
Mn2 0.2490 0.7405 0.7551 1
Co1 0.9999 0.9837 0.5045 1
Co2 0.4892 0.0010 0.0022 1
Co3 0.4927 0.4920 0.0033 1
Co4 0.7457 0.2364 0.2537 1
Co5 0.7487 0.7349 0.2522 1
O1 0.0036 0.5014 0.7405 1
O2 0.0193 0.9685 0.7357 1
O3 0.2105 0.2440 0.5023 1
O4 0.2454 0.7157 0.5143 1
O5 0.2465 0.7646 0.9905 1
O6 0.2674 0.2551 0.0051 1
O7 0.4741 0.5156 0.7683 1
O8 0.4893 0.9784 0.7627 1
O9 0.5102 0.0018 0.2458 1
O10 0.5132 0.5009 0.2421 1
O11 0.7277 0.7323 0.0173 1
O12 0.7383 0.2251 0.0161 1
O13 0.7510 0.2505 0.4961 1
O14 0.7816 0.7232 0.4915 1
O15 0.9825 0.9746 0.2687 1
O16 0.9861 0.4716 0.2648 1
```



Structure and computed X-ray diffraction stick pattern of Li8Cr3TeO12 (a GGA+U-relaxed structure; a wavelength of 1.5418 Å).
Kinematic intensities with the Lorentz-polarization factor, no thermal factor.

Peak list (6 most intense, 10 to 80 degrees two-theta, by angle)
Position (°2θ)	d_spacing	Rel. int.	(hkl)
20.38	4.358	100	1 1 0
32.49	2.756	19	1 2 -1
32.62	2.745	19	1 2 1
35.97	2.497	13	0 3 1
51.39	1.778	14	2 3 -1
51.57	1.772	15	2 3 1

Cell and atoms:
```
data_Li8Cr3TeO12
_chemical_formula_sum 'Li8 Cr3 Te1 O12'
_symmetry_space_group_name_H-M 'P 1 2 1'
_symmetry_Int_Tables_number 3
_cell_length_a 5.0486
_cell_length_b 8.6087
_cell_length_c 5.0651
_cell_angle_alpha 90.00
_cell_angle_beta 90.37
_cell_angle_gamma 90.00
loop_
_symmetry_equiv_pos_as_xyz
'x,y,z'
'-x,y,-z'
loop_
_atom_site_label
_atom_site_fract_x
_atom_site_fract_y
_atom_site_fract_z
_atom_site_occupancy
Li1 0.0000 0.0000 0.0000 1
Li2 0.0000 0.1333 0.5000 1
Li3 0.0000 0.2831 0.0000 1
Li4 0.0000 0.8422 0.5000 1
Li5 0.5000 0.3051 0.0000 1
Li6 0.5000 0.4706 0.5000 1
Li7 0.5000 0.6239 0.0000 1
Li8 0.5000 0.8061 0.5000 1
Cr1 0.0000 0.4552 0.5000 1
Cr2 0.5000 0.1449 0.5000 1
Cr3 0.5000 0.9774 0.0000 1
Te1 0.0000 0.6487 0.0000 1
O1 0.2175 0.4838 0.1680 1
O2 0.2197 0.6337 0.6834 1
O3 0.2368 0.8030 0.1524 1
O4 0.2607 0.3049 0.6465 1
O5 0.2754 0.1347 0.1734 1
O6 0.2856 0.9852 0.6649 1
```